1.
Computed XRD peak list of Pu5Bi3 for Cu Kα (λ = 1.5418 Å), from a cell relaxed with PBE.
Intensities are scaled so that the largest is 100.

Main lines, in order of rising 2θ (2θ = 15–90°):
28.77 deg, d = 3.103 Å, intensity 34
29.27 deg, d = 3.051 Å, intensity 14
31.28 deg, d = 2.860 Å, intensity 16
32.37 deg, d = 2.766 Å, intensity 100
32.73 deg, d = 2.736 Å, intensity 36
34.98 deg, d = 2.565 Å, intensity 59
40.85 deg, d = 2.209 Å, intensity 14
48.65 deg, d = 1.872 Å, intensity 19
53.88 deg, d = 1.702 Å, intensity 35
64.45 deg, d = 1.446 Å, intensity 23

Crystal structure
```
data_Pu5Bi3
_cell_length_a 9.4793
_cell_length_b 9.4793
_cell_length_c 6.1018
_cell_angle_alpha 90.00
_cell_angle_beta 90.00
_cell_angle_gamma 120.00
_symmetry_space_group_name_H-M 'P 63/m c m'
_symmetry_Int_Tables_number 193
_symmetry_space_group_name_Hall '-P 6c 2'
loop_
_atom_site_label
_atom_site_type_symbol
_atom_site_fract_x
_atom_site_fract_y
_atom_site_fract_z
Pu1 Pu 0.0000 0.2296 0.2500
Pu2 Pu 0.3333 0.6667 0.0000
Bi1 Bi 0.0000 0.3910 0.7500
```

2.
Computed XRD peak list of La8NiP3I4 for Cu Kα (λ = 1.5418 Å), from a cell relaxed with PBE.
Intensities are scaled so that the largest is 100.

Main lines, in order of rising 2θ (2θ = 15–90°):
24.19 deg, d = 3.680 Å, intensity 12
28.39 deg, d = 3.144 Å, intensity 100
30.66 deg, d = 2.916 Å, intensity 27
34.45 deg, d = 2.603 Å, intensity 12
39.12 deg, d = 2.303 Å, intensity 27
42.00 deg, d = 2.151 Å, intensity 39
51.48 deg, d = 1.775 Å, intensity 19
55.41 deg, d = 1.658 Å, intensity 19
56.74 deg, d = 1.622 Å, intensity 11
68.53 deg, d = 1.369 Å, intensity 16

Crystal structure
```
data_La8NiP3I4
_cell_length_a 8.6044
_cell_length_b 8.6044
_cell_length_c 23.4302
_cell_angle_alpha 90.00
_cell_angle_beta 90.00
_cell_angle_gamma 120.00
_symmetry_space_group_name_H-M 'R -3 m'
_symmetry_Int_Tables_number 166
_symmetry_space_group_name_Hall '-R 3 2"'
loop_
_atom_site_label
_atom_site_type_symbol
_atom_site_fract_x
_atom_site_fract_y
_atom_site_fract_z
La1 La 0.0000 0.0000 0.2318
La2 La 0.0060 0.5030 0.2315
Ni1 Ni 0.0000 0.0000 0.5000
P1 P 0.0000 0.5000 0.5000
I1 I 0.0000 0.0000 0.0000
I2 I 0.0000 0.5000 0.0000
```

3.
Computed XRD peak list of YTh3C3 for Cu Kα (λ = 1.5418 Å), from a cell relaxed with PBE.
Intensities are scaled so that the largest is 100.

Main lines, in order of rising 2θ (2θ = 15–90°):
29.27 deg, d = 3.051 Å, intensity 100
33.33 deg, d = 2.688 Å, intensity 21
33.91 deg, d = 2.644 Å, intensity 20
34.52 deg, d = 2.598 Å, intensity 20
48.29 deg, d = 1.885 Å, intensity 15
48.75 deg, d = 1.868 Å, intensity 15
57.09 deg, d = 1.613 Å, intensity 16
57.85 deg, d = 1.594 Å, intensity 15
58.66 deg, d = 1.574 Å, intensity 15
60.71 deg, d = 1.526 Å, intensity 15

Crystal structure
```
data_YTh3C3
_cell_length_a 10.392
_cell_length_b 10.574
_cell_length_c 5.376
_cell_angle_alpha 90.00
_cell_angle_beta 90.00
_cell_angle_gamma 90.00
_symmetry_space_group_name_H-M 'C m c m'
_symmetry_Int_Tables_number 63
_symmetry_space_group_name_Hall '-C 2c 2'
loop_
_atom_site_label
_atom_site_type_symbol
_atom_site_fract_x
_atom_site_fract_y
_atom_site_fract_z
Y1 Y 0.000 0.138 0.250
Th1 Th 0.000 0.381 0.750
Th2 Th 0.249 0.375 0.250
C1 C 0.000 0.378 0.250
C2 C 0.246 0.127 0.250
```

4.
Computed XRD peak list of La3InSi2Pd9 for Cu Kα (λ = 1.5418 Å), from a cell relaxed with PBE.
Intensities are scaled so that the largest is 100.

Main lines, in order of rising 2θ (2θ = 15–90°):
24.21 deg, d = 3.677 Å, intensity 45
32.47 deg, d = 2.757 Å, intensity 22
36.19 deg, d = 2.482 Å, intensity 77
38.95 deg, d = 2.312 Å, intensity 100
43.21 deg, d = 2.094 Å, intensity 19
48.66 deg, d = 1.871 Å, intensity 29
55.07 deg, d = 1.668 Å, intensity 19
62.29 deg, d = 1.491 Å, intensity 17
63.23 deg, d = 1.471 Å, intensity 24
68.75 deg, d = 1.365 Å, intensity 13

Crystal structure
```
data_La3InSi2Pd9
_cell_length_a 5.8825
_cell_length_b 5.8825
_cell_length_c 11.0296
_cell_angle_alpha 90.00
_cell_angle_beta 90.00
_cell_angle_gamma 120.00
_symmetry_space_group_name_H-M 'P -3 m 1'
_symmetry_Int_Tables_number 164
_symmetry_space_group_name_Hall '-P 3 2"'
loop_
_atom_site_label
_atom_site_type_symbol
_atom_site_fract_x
_atom_site_fract_y
_atom_site_fract_z
La1 La 0.0000 0.0000 0.0000
La2 La 0.3333 0.6667 0.7248
In1 In 0.0000 0.0000 0.5000
Si1 Si 0.3333 0.6667 0.1574
Pd1 Pd 0.0000 0.5000 0.0000
Pd2 Pd 0.1592 0.3185 0.2999
```

Which formula does entry 3 have? YTh3C3